1.
Starting from the PBE geometry in the Materials Project, the XRD peak list of BaCaSiO4 was simulated for Cu Kα, 1.54184 Å.

Structure:
a b c (Å): 11.3827 11.3827 7.3052
angles (deg): 90.00 90.00 120.00
Space group P6_3mc (No. 186)
Inequivalent atoms, fractional coordinates:
1 Ba 0.1670 0.3340 0.0000
2 Ba 0.3333 0.6667 0.6881
3 Ca 0.0000 0.0000 0.2968
4 Ca 0.0584 0.5292 0.3229
5 Si 0.1713 0.3426 0.5506
6 Si 0.3333 0.6667 0.1154
7 O 0.0856 0.4096 0.6445
8 O 0.0873 0.1747 0.5846
9 O 0.1759 0.5879 0.0334
10 O 0.1870 0.3740 0.3331
11 O 0.3333 0.6667 0.3379

Peak list (8 most intense, 2θ from 10° to 90°, low angle first)
2θ/deg, Rel. int., hkl
18.00, 22, 2 0 0
21.75, 45, 2 0 1
26.86, 20, 2 1 1
29.05, 26, 1 1 2
30.46, 36, 2 0 2
31.44, 100, 2 2 0
36.79, 21, 3 0 2
38.55, 41, 4 0 1

=====

2.
Starting from the PBE geometry in the Materials Project, the XRD peak list of BaCa2Si3O9 was simulated for Cu Kα, 1.54184 Å.

Structure:
a b c (Å): 6.764 6.865 9.721
angles (deg): 88.35 69.96 77.74
Space group P-1 (No. 2)
Inequivalent atoms, fractional coordinates:
1 Ba 0.167 0.448 0.152
2 Ca 0.226 0.937 0.828
3 Ca 0.277 0.216 0.489
4 Si 0.230 0.736 0.480
5 Si 0.293 0.940 0.194
6 Si 0.378 0.402 0.776
7 O 0.035 0.646 0.585
8 O 0.139 0.863 0.354
9 O 0.153 0.008 0.089
10 O 0.229 0.600 0.874
11 O 0.235 0.266 0.736
12 O 0.337 0.872 0.556
13 O 0.402 0.112 0.231
14 O 0.424 0.547 0.372
15 O 0.482 0.729 0.124

Peak list (8 most intense, 2θ from 10° to 90°, low angle first)
2θ/deg, Rel. int., hkl
19.87, 26, 1 0 -1
27.41, 41, 1 2 0
27.88, 38, 0 2 -1
28.76, 41, 2 0 0
28.83, 27, 0 2 1
29.36, 100, 0 0 3
32.63, 34, 2 -1 1
33.81, 23, 2 2 1

=====

3.
Starting from the PBE geometry in the Materials Project, the XRD peak list of BaCaSn4O12 was simulated for Cu Kα, 1.54184 Å.

Structure:
a b c (Å): 8.173 8.211 8.218
angles (deg): 90.00 90.00 90.00
Space group Amm2 (No. 38)
Inequivalent atoms, fractional coordinates:
1 Ba 0.000 0.000 0.000
2 Ca 0.500 0.000 0.465
3 Sn 0.254 0.243 0.735
4 O 0.000 0.231 0.737
5 O 0.243 0.000 0.257
6 O 0.254 0.228 0.986
7 O 0.300 0.000 0.696
8 O 0.500 0.208 0.262

Peak list (8 most intense, 2θ from 10° to 90°, low angle first)
2θ/deg, Rel. int., hkl
18.74, 21, 1 1 1
21.64, 32, 0 0 2
21.75, 16, 2 0 0
30.84, 100, 2 2 0
44.10, 24, 0 4 0
49.66, 15, 0 2 4
54.80, 29, 2 2 4
54.95, 15, 4 2 2

=====

4.
Starting from the PBE geometry in the Materials Project, the XRD peak list of BaCaTbSnO6 was simulated for Cu Kα, 1.54184 Å.

Structure:
a b c (Å): 8.561 8.561 8.561
angles (deg): 90.00 90.00 90.00
Space group F-43m (No. 216)
Inequivalent atoms, fractional coordinates:
1 Ba 0.000 0.000 0.000
2 Ca 0.000 0.000 0.500
3 Tb 0.250 0.250 0.250
4 Sn 0.250 0.250 0.750
5 O 0.009 0.250 0.750

Peak list (8 most intense, 2θ from 10° to 90°, low angle first)
2θ/deg, Rel. int., hkl
17.95, 11, 1 1 1
20.75, 13, 2 0 0
29.51, 100, 2 2 0
42.23, 32, 4 0 0
52.36, 41, 4 2 2
61.25, 20, 4 4 0
69.44, 18, 6 2 0
84.74, 22, 6 4 2

=====

Q: Which formula does entry 1 have?
A: BaCaSiO4